For La2Ag2Au, a PBE-relaxed structure gives the computed powder XRD pattern in this record (Cu Kα (λ = 1.5418 Å)).
Peak positions follow from Bragg's law for the DFT cell and can differ from measured ones.

Main lines, in order of rising 2θ (2θ from 10° to 80°):
| 2theta | intensity | (hkl) |
| --- | --- | --- |
| 11.63 | 20 | 0 0 2 |
| 31.17 | 100 | 1 1 1 |
| 33.08 | 46 | 1 0 4 |
| 35.45 | 54 | 1 1 3 |
| 35.66 | 76 | 0 1 5 |
| 40.27 | 34 | 0 2 0 |
| 47.15 | 23 | 2 0 0 |
| 53.06 | 24 | 1 2 4 |
| 60.50 | 32 | 2 1 5 |
| 63.70 | 17 | 2 2 0 |

Structure:
Cell lengths 3.854, 4.479, 15.220 Å; angles 90.00, 90.00, 90.00 degrees
Space group Amm2 (No. 38)
Symmetry-distinct sites (fractional):
La: 0.000 0.000 0.000
La: 0.000 0.000 0.245
Ag: 0.500 0.000 0.624
Ag: 0.500 0.000 0.815
Au: 0.500 0.000 0.428


For BaSmAg2Se4, a PBE-relaxed structure gives the computed powder XRD pattern in this record (Cu Kα (λ = 1.5418 Å)).
Peak positions follow from Bragg's law for the DFT cell and can differ from measured ones.

Main lines, in order of rising 2θ (2θ from 10° to 80°):
| 2theta | intensity | (hkl) |
| --- | --- | --- |
| 24.06 | 11 | 0 2 0 |
| 27.03 | 100 | 1 1 2 |
| 32.08 | 21 | 2 0 2 |
| 34.29 | 58 | 2 2 0 |
| 42.53 | 11 | 0 0 4 |
| 44.19 | 59 | 3 1 2 |
| 49.45 | 10 | 2 0 4 |
| 55.72 | 18 | 2 2 4 |
| 78.72 | 15 | 5 3 2 |
| 78.99 | 11 | 3 1 6 |

Structure:
Cell lengths 7.390, 7.404, 8.503 Å; angles 90.00, 90.00, 90.00 degrees
Space group I222 (No. 23)
Symmetry-distinct sites (fractional):
Ba: 0.000 0.000 0.000
Sm: 0.000 0.000 0.500
Ag: 0.000 0.500 0.248
Se: 0.216 0.216 0.704


For PuSi2OsRh, a PBE-relaxed structure gives the computed powder XRD pattern in this record (Cu Kα (λ = 1.5418 Å)).
Peak positions follow from Bragg's law for the DFT cell and can differ from measured ones.

Main lines, in order of rising 2θ (2θ from 10° to 80°):
| 2theta | intensity | (hkl) |
| --- | --- | --- |
| 23.40 | 45 | 1 0 1 |
| 34.70 | 32 | 1 0 3 |
| 35.74 | 100 | 1 1 2 |
| 36.03 | 19 | 0 0 4 |
| 44.04 | 34 | 2 0 0 |
| 50.46 | 13 | 2 1 1 |
| 57.25 | 16 | 2 1 3 |
| 58.16 | 20 | 2 0 4 |
| 64.59 | 18 | 1 1 6 |
| 75.56 | 23 | 3 1 2 |

Structure:
Cell lengths 4.113, 4.113, 9.971 Å; angles 90.00, 90.00, 90.00 degrees
Space group I-4m2 (No. 119)
Symmetry-distinct sites (fractional):
Pu: 0.000 0.000 0.000
Si: 0.000 0.000 0.374
Os: 0.000 0.500 0.750
Rh: 0.000 0.500 0.250


For CaGa4NiRh2, a PBE-relaxed structure gives the computed powder XRD pattern in this record (Cu Kα (λ = 1.5418 Å)).
Peak positions follow from Bragg's law for the DFT cell and can differ from measured ones.

Main lines, in order of rising 2θ (2θ from 10° to 80°):
| 2theta | intensity | (hkl) |
| --- | --- | --- |
| 19.93 | 12 | 0 0 6 |
| 29.71 | 22 | 0 1 5 |
| 36.52 | 62 | 0 1 8 |
| 43.07 | 100 | 1 1 0 |
| 44.31 | 16 | 1 1 3 |
| 44.86 | 62 | 0 1 11 |
| 57.71 | 16 | 2 0 8 |
| 63.94 | 21 | 2 0 11 |
| 74.65 | 14 | 1 2 8 |
| 78.96 | 16 | 3 0 0 |

Structure:
Cell lengths 4.2004, 4.2004, 26.7284 Å; angles 90.00, 90.00, 120.00 degrees
Space group R-3m (No. 166, hexagonal axes)
Symmetry-distinct sites (fractional):
Ca: 0.0000 0.0000 0.0000
Ga: 0.0000 0.0000 0.1339
Ga: 0.0000 0.0000 0.4037
Ni: 0.0000 0.0000 0.5000
Rh: 0.0000 0.0000 0.2308


For Hg, a PBE-relaxed structure gives the computed powder XRD pattern in this record (Cu Kα (λ = 1.5418 Å)).
Peak positions follow from Bragg's law for the DFT cell and can differ from measured ones.

Main lines, in order of rising 2θ (2θ from 10° to 80°):
| 2theta | intensity | (hkl) |
| --- | --- | --- |
| 28.93 | 24 | 1 0 0 |
| 32.08 | 24 | 0 0 2 |
| 33.17 | 100 | 1 0 1 |
| 43.74 | 16 | 1 0 2 |
| 51.27 | 20 | 1 1 0 |
| 57.88 | 21 | 1 0 3 |
| 61.77 | 23 | 1 1 2 |
| 62.43 | 17 | 2 0 1 |
| 69.62 | 4 | 2 0 2 |
| 74.67 | 3 | 1 0 4 |

Structure:
Cell lengths 3.5641, 3.5641, 5.5799 Å; angles 90.00, 90.00, 120.00 degrees
Space group P6_3/mmc (No. 194)
Symmetry-distinct sites (fractional):
Hg: 0.3333 0.6667 0.2500


For Ce3TlGe, a PBE-relaxed structure gives the computed powder XRD pattern in this record (Cu Kα (λ = 1.5418 Å)).
Peak positions follow from Bragg's law for the DFT cell and can differ from measured ones.

Main lines, in order of rising 2θ (2θ from 10° to 80°):
| 2theta | intensity | (hkl) |
| --- | --- | --- |
| 24.81 | 43 | 0 3 1 |
| 27.07 | 31 | 1 1 2 |
| 30.37 | 57 | 0 4 0 |
| 33.08 | 63 | 2 0 0 |
| 34.57 | 100 | 1 0 3 |
| 34.73 | 76 | 1 3 2 |
| 41.79 | 22 | 2 3 1 |
| 45.52 | 38 | 2 4 0 |
| 46.67 | 61 | 1 4 3 |
| 61.40 | 23 | 1 7 2 |

Structure:
Cell lengths 5.416, 11.772, 8.868 Å; angles 90.00, 90.00, 90.00 degrees
Space group Imma (No. 74)
Symmetry-distinct sites (fractional):
Ce: 0.000 0.036 0.158
Ce: 0.000 0.250 0.467
Tl: 0.000 0.250 0.851
Ge: 0.000 0.000 0.500


For Na3ErU2S6, a PBE-relaxed structure gives the computed powder XRD pattern in this record (Cu Kα (λ = 1.5418 Å)).
Peak positions follow from Bragg's law for the DFT cell and can differ from measured ones.

Main lines, in order of rising 2θ (2θ from 10° to 80°):
| 2theta | intensity | (hkl) |
| --- | --- | --- |
| 13.14 | 100 | 0 0 1 |
| 26.36 | 53 | 1 3 0 |
| 27.46 | 40 | 2 0 0 |
| 31.53 | 95 | 1 3 1 |
| 34.29 | 24 | 2 0 1 |
| 40.86 | 22 | 1 3 2 |
| 44.55 | 35 | 2 0 2 |
| 45.83 | 33 | 0 6 0 |
| 47.88 | 25 | 3 3 0 |
| 53.68 | 23 | 4 0 -1 |

Structure:
Cell lengths 6.859, 11.882, 7.114 Å; angles 90.00, 108.74, 90.00 degrees
Space group C2/m (No. 12)
Symmetry-distinct sites (fractional):
Na: 0.000 0.000 0.000
Na: 0.000 0.334 0.000
Er: 0.000 0.500 0.500
U: 0.000 0.167 0.500
S: 0.242 0.335 0.729
S: 0.245 0.000 0.729


For Ba2SrAlSi2, a PBE-relaxed structure gives the computed powder XRD pattern in this record (Cu Kα (λ = 1.5418 Å)).
Peak positions follow from Bragg's law for the DFT cell and can differ from measured ones.

Main lines, in order of rising 2θ (2θ from 10° to 80°):
| 2theta | intensity | (hkl) |
| --- | --- | --- |
| 21.04 | 52 | 1 2 1 |
| 21.75 | 42 | 1 3 0 |
| 25.81 | 38 | 2 2 0 |
| 26.73 | 50 | 2 1 1 |
| 28.45 | 50 | 0 2 2 |
| 28.67 | 23 | 1 1 2 |
| 30.23 | 100 | 1 4 1 |
| 34.34 | 47 | 2 0 2 |
| 47.32 | 35 | 3 3 2 |
| 48.03 | 27 | 1 4 3 |

Structure:
Cell lengths 7.874, 14.344, 6.978 Å; angles 90.00, 90.00, 90.00 degrees
Space group Ibam (No. 72)
Symmetry-distinct sites (fractional):
Ba: 0.178 0.182 0.000
Sr: 0.000 0.500 0.250
Al: 0.000 0.000 0.250
Si: 0.198 0.085 0.500


Number 8 is which compound? Ba2SrAlSi2